(1)
Computed X-ray diffraction stick pattern of Pt5S4 for Cu Kα (weighted mean of Kα1 and Kα2), from a PBE-relaxed structure.

Main lines, by angle (15 to 90 degrees two-theta):
2θ 16.79, rel. 56
2θ 26.57, rel. 54
2θ 27.91, rel. 82
2θ 31.20, rel. 72
2θ 33.13, rel. 49
2θ 49.52, rel. 100

Cell and atoms:
```
data_Pt5S4
_symmetry_space_group_name_H-M 'P 1 21/c 1'
_symmetry_Int_Tables_number 14
_symmetry_space_group_name_Hall '-P 2ybc'
_cell_length_a 6.4799
_cell_length_b 4.5128
_cell_length_c 10.7768
_cell_angle_alpha 90.00
_cell_angle_beta 101.52
_cell_angle_gamma 90.00
loop_
_atom_site_label
_atom_site_type_symbol
_atom_site_fract_x
_atom_site_fract_y
_atom_site_fract_z
_atom_site_occupancy
Pt1 Pt 0.0000 0.0000 0.0000 1
Pt2 Pt 0.2242 0.1594 0.6790 1
Pt3 Pt 0.3330 0.6736 0.9999 1
S1 S 0.0877 0.1324 0.3638 1
S2 S 0.4920 0.5403 0.3562 1
```

---

(2)
Computed X-ray diffraction stick pattern of AcDyO3 for Cu Kα (weighted mean of Kα1 and Kα2), from a PBE-relaxed structure.

Main lines, by angle (15 to 90 degrees two-theta):
2θ 29.12, rel. 97
2θ 29.60, rel. 100
2θ 42.00, rel. 47
2θ 51.62, rel. 26
2θ 51.92, rel. 45
2θ 52.82, rel. 21

Cell and atoms:
```
data_AcDyO3
_symmetry_space_group_name_H-M 'R -3 c'
_symmetry_Int_Tables_number 167
_symmetry_space_group_name_Hall '-R 3 2"c'
_cell_length_a 6.1333
_cell_length_b 6.1333
_cell_length_c 14.6688
_cell_angle_alpha 90.00
_cell_angle_beta 90.00
_cell_angle_gamma 120.00
loop_
_atom_site_label
_atom_site_type_symbol
_atom_site_fract_x
_atom_site_fract_y
_atom_site_fract_z
_atom_site_occupancy
Ac1 Ac 0.0000 0.0000 0.2500 1
Dy1 Dy 0.0000 0.0000 0.0000 1
O1 O 0.0000 0.3943 0.2500 1
```

---

(3)
Computed X-ray diffraction stick pattern of LiLa2AgBi4 for Cu Kα (weighted mean of Kα1 and Kα2), from a PBE-relaxed structure.

Main lines, by angle (15 to 90 degrees two-theta):
2θ 24.74, rel. 21
2θ 25.40, rel. 24
2θ 28.59, rel. 30
2θ 32.06, rel. 100
2θ 39.06, rel. 42
2θ 66.39, rel. 25

Cell and atoms:
```
data_LiLa2AgBi4
_symmetry_space_group_name_H-M 'P -4 m 2'
_symmetry_Int_Tables_number 115
_symmetry_space_group_name_Hall 'P -4 -2'
_cell_length_a 4.6124
_cell_length_b 4.6124
_cell_length_c 10.7943
_cell_angle_alpha 90.00
_cell_angle_beta 90.00
_cell_angle_gamma 90.00
loop_
_atom_site_label
_atom_site_type_symbol
_atom_site_fract_x
_atom_site_fract_y
_atom_site_fract_z
_atom_site_occupancy
Li1 Li 0.0000 0.0000 0.0000 1
La1 La 0.0000 0.5000 0.2541 1
Ag1 Ag 0.5000 0.5000 0.0000 1
Bi1 Bi 0.0000 0.0000 0.5000 1
Bi2 Bi 0.0000 0.5000 0.8302 1
Bi3 Bi 0.5000 0.5000 0.5000 1
```

---

(4)
Computed X-ray diffraction stick pattern of KHoTmC for Cu Kα (weighted mean of Kα1 and Kα2), from a PBE-relaxed structure.

Main lines, by angle (15 to 90 degrees two-theta):
2θ 26.12, rel. 23
2θ 28.69, rel. 21
2θ 31.60, rel. 100
2θ 36.26, rel. 38
2θ 50.82, rel. 21
2θ 61.08, rel. 15

Cell and atoms:
```
data_KHoTmC
_symmetry_space_group_name_H-M 'P -3 m 1'
_symmetry_Int_Tables_number 164
_symmetry_space_group_name_Hall '-P 3 2"'
_cell_length_a 3.5934
_cell_length_b 3.5934
_cell_length_c 20.4706
_cell_angle_alpha 90.00
_cell_angle_beta 90.00
_cell_angle_gamma 120.00
loop_
_atom_site_label
_atom_site_type_symbol
_atom_site_fract_x
_atom_site_fract_y
_atom_site_fract_z
_atom_site_occupancy
K1 K 0.3333 0.6667 0.2513 1
Ho1 Ho 0.3333 0.6667 0.9353 1
Tm1 Tm 0.3333 0.6667 0.5636 1
C1 C 0.0000 0.0000 0.0000 1
C2 C 0.0000 0.0000 0.5000 1
```

---

(5)
Computed X-ray diffraction stick pattern of GaNi15 for Cu Kα (weighted mean of Kα1 and Kα2), from a PBE-relaxed structure.

Main lines, by angle (15 to 90 degrees two-theta):
2θ 43.44, rel. 46
2θ 43.87, rel. 45
2θ 44.87, rel. 100
2θ 45.29, rel. 97
2θ 50.92, rel. 96
2θ 76.74, rel. 26

Cell and atoms:
```
data_GaNi15
_symmetry_space_group_name_H-M 'P 1 m 1'
_symmetry_Int_Tables_number 6
_symmetry_space_group_name_Hall 'P -2y'
_cell_length_a 5.0378
_cell_length_b 2.5549
_cell_length_c 39.5924
_cell_angle_alpha 90.00
_cell_angle_beta 90.00
_cell_angle_gamma 90.00
loop_
_atom_site_label
_atom_site_type_symbol
_atom_site_fract_x
_atom_site_fract_y
_atom_site_fract_z
_atom_site_occupancy
Ga1 Ga 0.0000 0.0000 0.0000 1
Ga2 Ga 0.2499 0.5000 0.3596 1
Ni1 Ni 0.0001 0.0000 0.4883 1
Ni2 Ni 0.0001 0.0000 0.5735 1
Ni3 Ni 0.9999 0.0000 0.6584 1
Ni4 Ni 0.0000 0.0000 0.7435 1
Ni5 Ni 0.0000 0.0000 0.8285 1
Ni6 Ni 0.0001 0.0000 0.9134 1
Ni7 Ni 0.2500 0.5000 0.4456 1
Ni8 Ni 0.2500 0.5000 0.5305 1
Ni9 Ni 0.2499 0.5000 0.6159 1
Ni10 Ni 0.2499 0.5000 0.7010 1
Ni11 Ni 0.2499 0.5000 0.7857 1
Ni12 Ni 0.2497 0.5000 0.8708 1
Ni13 Ni 0.2523 0.5000 0.9561 1
Ni14 Ni 0.4998 0.0000 0.4883 1
Ni15 Ni 0.4998 0.0000 0.5735 1
Ni16 Ni 0.5000 0.0000 0.6584 1
Ni17 Ni 0.5000 0.0000 0.7435 1
Ni18 Ni 0.4999 0.0000 0.8284 1
Ni19 Ni 0.4999 0.0000 0.9130 1
Ni20 Ni 0.5000 0.0000 0.9988 1
Ni21 Ni 0.5025 0.0000 0.4034 1
Ni22 Ni 0.7476 0.5000 0.9561 1
Ni23 Ni 0.7499 0.5000 0.3607 1
Ni24 Ni 0.7499 0.5000 0.4461 1
Ni25 Ni 0.7500 0.5000 0.5306 1
Ni26 Ni 0.7500 0.5000 0.6159 1
Ni27 Ni 0.7500 0.5000 0.7010 1
Ni28 Ni 0.7500 0.5000 0.7857 1
Ni29 Ni 0.7501 0.5000 0.8709 1
Ni30 Ni 0.9974 0.0000 0.4034 1
```

---

(6)
Computed X-ray diffraction stick pattern of PmAuNO for Cu Kα (weighted mean of Kα1 and Kα2), from a PBE-relaxed structure.

Main lines, by angle (15 to 90 degrees two-theta):
2θ 30.20, rel. 37
2θ 30.95, rel. 27
2θ 32.91, rel. 100
2θ 43.79, rel. 31
2θ 55.38, rel. 23
2θ 56.31, rel. 13

Cell and atoms:
```
data_PmAuNO
_symmetry_space_group_name_H-M 'P c a 21'
_symmetry_Int_Tables_number 29
_symmetry_space_group_name_Hall 'P 2c -2ac'
_cell_length_a 5.7787
_cell_length_b 7.2296
_cell_length_c 5.9190
_cell_angle_alpha 90.00
_cell_angle_beta 90.00
_cell_angle_gamma 90.00
loop_
_atom_site_label
_atom_site_type_symbol
_atom_site_fract_x
_atom_site_fract_y
_atom_site_fract_z
_atom_site_occupancy
Pm1 Pm 0.0360 0.1496 0.0000 1
Au1 Au 0.0389 0.5718 0.9868 1
N1 N 0.2441 0.4026 0.7372 1
O1 O 0.2501 0.9717 0.2502 1
```

---

What did the third record say?
Computed X-ray diffraction stick pattern of LiLa2AgBi4 for Cu Kα (weighted mean of Kα1 and Kα2), from a PBE-relaxed structure.

Main lines, by angle (15 to 90 degrees two-theta):
2θ 24.74, rel. 21
2θ 25.40, rel. 24
2θ 28.59, rel. 30
2θ 32.06, rel. 100
2θ 39.06, rel. 42
2θ 66.39, rel. 25

Cell and atoms:
```
data_LiLa2AgBi4
_symmetry_space_group_name_H-M 'P -4 m 2'
_symmetry_Int_Tables_number 115
_symmetry_space_group_name_Hall 'P -4 -2'
_cell_length_a 4.6124
_cell_length_b 4.6124
_cell_length_c 10.7943
_cell_angle_alpha 90.00
_cell_angle_beta 90.00
_cell_angle_gamma 90.00
loop_
_atom_site_label
_atom_site_type_symbol
_atom_site_fract_x
_atom_site_fract_y
_atom_site_fract_z
_atom_site_occupancy
Li1 Li 0.0000 0.0000 0.0000 1
La1 La 0.0000 0.5000 0.2541 1
Ag1 Ag 0.5000 0.5000 0.0000 1
Bi1 Bi 0.0000 0.0000 0.5000 1
Bi2 Bi 0.0000 0.5000 0.8302 1
Bi3 Bi 0.5000 0.5000 0.5000 1
```